Computed powder X-ray diffraction pattern
Compound: NaAsH4O5
Radiation: λ = 1.5418 Å (Cu Kα)
Structure: a crystal structure in Alexandria, relaxed with GGA-PBE
Intensities are scaled so that the largest is 100.

Structural model:
Unit cell a=5.261 b=8.502 c=10.602 alpha=90.00 beta=90.00 gamma=90.00
Space group P2_12_12_1 (No. 19)
Inequivalent atoms, fractional coordinates:
1 Na 0.066 0.093 0.086
2 As 0.088 0.303 0.660
3 H 0.028 0.506 0.799
4 H 0.046 0.448 0.053
5 H 0.148 0.881 0.349
6 H 0.198 0.273 0.404
7 O 0.081 0.864 0.435
8 O 0.165 0.420 0.791
9 O 0.185 0.393 0.525
10 O 0.203 0.120 0.689
11 O 0.247 0.798 0.831

The 10 most intense peaks (10 to 90 degrees two-theta), low angle first:
d/Å, Rel. int., h k l
6.632, 56, 0 1 1
4.713, 50, 1 0 1
4.251, 19, 0 2 0
4.122, 43, 1 1 1
3.945, 32, 0 2 1
3.419, 100, 1 1 2
3.309, 23, 1 2 0
3.263, 56, 0 1 3
3.156, 35, 1 2 1
2.513, 26, 2 1 0